Record 1
The following is a simulated powder diffraction line list of Sc13Co2. It was derived from DFT lattice parameters and positions (PBE), using Cu Kα X-rays.

Principal peaks in the range 15° ≤ 2θ ≤ 90°, by intensity:
| 2theta | d_spacing | I/Imax | (hkl) |
| --- | --- | --- | --- |
| 38.30 | 2.350 | 100 | -2 1 2 |
| 33.08 | 2.708 | 66 | 1 1 -2 |
| 37.96 | 2.370 | 51 | 1 0 3 |
| 32.84 | 2.727 | 34 | 1 -2 0 |
| 32.65 | 2.743 | 34 | 2 1 1 |
| 55.44 | 1.657 | 29 | -1 4 3 |

Crystal structure
a b c (Å): 5.806 7.424 8.788
angles (deg): 65.17 89.20 82.46
Space group P-1 (No. 2)
Unique sites:
Sc 0.000 0.000 0.000 x1
Sc 0.050 0.511 0.319 x2
Sc 0.174 0.060 0.611 x2
Sc 0.224 0.620 0.939 x2
Sc 0.308 0.156 0.229 x2
Sc 0.421 0.670 0.562 x2
Sc 0.440 0.227 0.853 x2
Co 0.197 0.823 0.288 x2

Record 2
The following is a simulated powder diffraction line list of CaTlCdSn. It was derived from DFT lattice parameters and positions (PBE), using Cu Kα X-rays.

Principal peaks in the range 15° ≤ 2θ ≤ 90°, by intensity:
| 2theta | d_spacing | I/Imax | (hkl) |
| --- | --- | --- | --- |
| 32.72 | 2.737 | 100 | 1 1 1 |
| 36.66 | 2.451 | 18 | 0 0 2 |
| 37.28 | 2.412 | 18 | 0 2 0 |
| 63.53 | 1.464 | 15 | 1 1 3 |
| 39.90 | 2.260 | 15 | 2 0 0 |
| 64.36 | 1.447 | 14 | 1 3 1 |

Crystal structure
a b c (Å): 4.519 4.824 4.903
angles (deg): 90.00 90.00 90.00
Space group Pmmm (No. 47)
Unique sites:
Ca 0.000 0.000 0.000 x1
Tl 0.500 0.000 0.500 x1
Cd 0.000 0.500 0.500 x1
Sn 0.500 0.500 0.000 x1

Record 3
The following is a simulated powder diffraction line list of HgPd7. It was derived from DFT lattice parameters and positions (PBE), using Cu Kα X-rays.

Principal peaks in the range 15° ≤ 2θ ≤ 90°, by intensity:
| 2theta | d_spacing | I/Imax | (hkl) |
| --- | --- | --- | --- |
| 38.99 | 2.310 | 100 | 1 1 4 |
| 45.47 | 1.995 | 33 | 2 0 0 |
| 79.64 | 1.204 | 24 | 3 1 4 |
| 65.94 | 1.417 | 21 | 2 0 8 |
| 45.06 | 2.012 | 16 | 0 0 8 |
| 79.04 | 1.211 | 12 | 1 1 12 |

Crystal structure
a b c (Å): 3.990 3.990 16.097
angles (deg): 90.00 90.00 90.00
Space group I4/mmm (No. 139)
Unique sites:
Hg 0.000 0.000 0.000 x2
Pd 0.000 0.000 0.250 x4
Pd 0.000 0.000 0.500 x2
Pd 0.000 0.500 0.128 x8

Record 4
The following is a simulated powder diffraction line list of La4Sb5H. It was derived from DFT lattice parameters and positions (PBE), using Cu Kα X-rays.

Principal peaks in the range 15° ≤ 2θ ≤ 90°, by intensity:
| 2theta | d_spacing | I/Imax | (hkl) |
| --- | --- | --- | --- |
| 29.54 | 3.024 | 100 | 0 2 0 |
| 31.99 | 2.798 | 97 | 1 1 2 |
| 34.81 | 2.577 | 95 | 5 1 -2 |
| 29.17 | 3.062 | 60 | 4 0 1 |
| 40.81 | 2.211 | 53 | 1 1 -3 |
| 42.00 | 2.151 | 45 | 4 2 1 |

Crystal structure
a b c (Å): 16.966 6.048 7.255
angles (deg): 90.00 108.83 90.00
Space group C2/m (No. 12)
Unique sites:
La 0.024 0.000 0.301 x4
La 0.140 0.500 0.921 x4
Sb 0.000 0.500 0.500 x2
Sb 0.155 0.000 0.095 x4
Sb 0.176 0.000 0.725 x4
H 0.000 0.500 0.000 x2

Record 5
The following is a simulated powder diffraction line list of CsTi2Ag. It was derived from DFT lattice parameters and positions (PBE), using Cu Kα X-rays.

Principal peaks in the range 15° ≤ 2θ ≤ 90°, by intensity:
| 2theta | d_spacing | I/Imax | (hkl) |
| --- | --- | --- | --- |
| 27.70 | 3.221 | 100 | 1 1 2 |
| 36.53 | 2.460 | 47 | 1 1 6 |
| 41.38 | 2.182 | 34 | 2 0 4 |
| 16.45 | 5.388 | 30 | 0 0 4 |
| 33.26 | 2.694 | 30 | 0 0 8 |
| 57.20 | 1.610 | 22 | 2 2 4 |

Crystal structure
a b c (Å): 4.773 4.773 21.552
angles (deg): 90.00 90.00 90.00
Space group I-42d (No. 122)
Unique sites:
Cs 0.000 0.000 0.000 x4
Ti 0.032 0.250 0.625 x8
Ag 0.000 0.000 0.500 x4